Starting from a PBE-relaxed structure, the powder X-ray diffraction pattern of BaNb2Xe5F22 was computed for Cu Kα (λ = 1.5418 Å).
Lines closer than 0.1° are merged.

Atomic structure:
Cell lengths 12.4630, 14.1320, 14.3903 Å; angles 90.00, 90.00, 90.00 degrees
Space group Fmmm (No. 69)
Inequivalent atoms, fractional coordinates:
Ba: 0.0000 0.0000 0.0000
Nb: 0.2500 0.0000 0.2500
Xe: 0.0000 0.0000 0.5000
Xe: 0.0000 0.2500 0.2500
Xe: 0.2500 0.2500 0.0000
F: 0.0000 0.1463 0.5000
F: 0.0000 0.1800 0.1233
F: 0.1238 0.0000 0.1690
F: 0.1836 0.0969 0.3258
F: 0.1864 0.1142 0.0000

Largest 12 diffraction maxima, sorted by position, 10 to 90 degrees two-theta:
two_theta  I_rel  index
22.7  100  2 2 2
24.7  18  0 0 4
25.2  13  0 4 0
28.7  14  4 0 0
35.6  13  0 4 4
38.2  13  4 0 4
38.5  10  4 4 0
42.4  17  2 2 6
42.9  18  2 6 2
46.3  15  4 4 4
47.3  13  6 2 2
56.7  10  2 6 6


Starting from a PBE-relaxed structure, the powder X-ray diffraction pattern of Ba4Nd3F17 was computed for Cu Kα (λ = 1.5418 Å).
Lines closer than 0.1° are merged.

Atomic structure:
Cell lengths 9.5748, 9.5919, 9.6558 Å; angles 73.02, 72.87, 73.08 degrees
Space group P1 (No. 1)
Inequivalent atoms, fractional coordinates:
Ba: 0.0000 0.0000 0.0000
Ba: 0.0418 0.6305 0.7850
Ba: 0.4243 0.8409 0.6905
Ba: 0.4701 0.4698 0.4679
Ba: 0.6238 0.7843 0.0461
Ba: 0.6797 0.4265 0.8466
Ba: 0.7816 0.0485 0.6272
Ba: 0.8424 0.6825 0.4207
Nd: 0.1206 0.2702 0.5745
Nd: 0.2011 0.8946 0.3453
Nd: 0.2577 0.5593 0.1255
Nd: 0.3383 0.2111 0.9037
Nd: 0.5758 0.1271 0.2663
Nd: 0.9143 0.3490 0.1979
F: 0.0031 0.5725 0.1405
F: 0.0709 0.2859 0.9719
F: 0.0909 0.7792 0.2249
F: 0.1438 0.0362 0.5280
F: 0.1807 0.4839 0.3922
F: 0.1844 0.7562 0.9119
F: 0.1943 0.3099 0.1814
F: 0.2255 0.0929 0.7766
F: 0.2433 0.3802 0.6887
F: 0.2758 0.9988 0.0843
F: 0.2815 0.7182 0.5568
F: 0.3251 0.4580 0.9096
F: 0.3750 0.6893 0.2452
F: 0.3837 0.1951 0.4701
F: 0.4357 0.9437 0.3161
F: 0.4693 0.6503 0.9532
F: 0.4769 0.3885 0.1884
F: 0.5164 0.9993 0.8238
F: 0.5312 0.1578 0.0305
F: 0.5550 0.2835 0.7158
F: 0.5957 0.5981 0.5963
F: 0.6486 0.9487 0.4760
F: 0.6959 0.2458 0.3763
F: 0.7135 0.5563 0.2828
F: 0.7256 0.7392 0.7401
F: 0.7522 0.9141 0.1867
F: 0.7810 0.2268 0.0927
F: 0.8169 0.5236 0.9946
F: 0.8692 0.8777 0.8713
F: 0.9095 0.1884 0.7544
F: 0.9312 0.3295 0.4419
F: 0.9419 0.4793 0.6530
F: 0.9898 0.8195 0.5229
F: 0.9944 0.0833 0.2789

Largest 12 diffraction maxima, sorted by position, 10 to 90 degrees two-theta:
two_theta  I_rel  index
25.2  51  1 -1 2
25.3  100  2 1 -1
25.5  48  2 2 2
29.2  27  0 1 3
29.4  53  1 3 0
41.8  40  1 2 -3
41.9  40  -3 1 2
42.1  20  1 4 3
42.3  19  4 3 1
49.4  18  2 0 -4
49.6  18  4 -2 0
49.7  25  3 4 -1


Starting from a PBE-relaxed structure, the powder X-ray diffraction pattern of Ba4OF6 was computed for Cu Kα (λ = 1.5418 Å).
Lines closer than 0.1° are merged.

Atomic structure:
Cell lengths 8.7910, 8.7910, 6.3300 Å; angles 90.00, 90.00, 90.00 degrees
Space group P4_2/nmc (No. 137, origin choice 2)
Inequivalent atoms, fractional coordinates:
Ba: 0.0042 0.2500 0.0467
O: 0.2500 0.7500 0.7500
F: 0.0309 0.5309 0.2500
F: 0.2500 0.2500 0.2898

Largest 12 diffraction maxima, sorted by position, 10 to 90 degrees two-theta:
two_theta  I_rel  index
24.7  100  2 0 1
28.2  6  0 0 2
28.7  21  2 2 0
36.4  7  2 1 2
40.7  32  2 2 2
41.1  20  4 0 0
47.8  7  2 0 3
48.5  31  4 2 1
49.0  7  2 1 3
65.4  6  6 0 1
74.6  9  6 2 2
80.2  7  6 4 1


Starting from a PBE-relaxed structure, the powder X-ray diffraction pattern of Ba4OF6 was computed for Cu Kα (λ = 1.5418 Å).
Lines closer than 0.1° are merged.

Atomic structure:
Cell lengths 8.9744, 8.9744, 6.7365 Å; angles 90.00, 90.00, 120.00 degrees
Space group P6_3mc (No. 186)
Inequivalent atoms, fractional coordinates:
Ba: 0.1838 0.3677 0.0000
Ba: 0.3333 0.6667 0.4860
O: 0.3333 0.6667 0.1176
F: 0.0708 0.5354 0.7433
F: 0.1481 0.2962 0.4021

Largest 12 diffraction maxima, sorted by position, 10 to 90 degrees two-theta:
two_theta  I_rel  index
22.9  22  2 0 0
26.5  100  0 0 2
35.3  25  2 0 2
37.2  8  3 0 1
40.2  28  2 2 0
46.7  26  2 0 3
48.8  34  2 2 2
54.5  7  0 0 4
63.3  10  4 0 3
65.0  8  4 2 1
69.8  10  2 2 4
74.5  7  2 0 5


Starting from a PBE-relaxed structure, the powder X-ray diffraction pattern of BaUPO6F was computed for Cu Kα (λ = 1.5418 Å).
Lines closer than 0.1° are merged.

Atomic structure:
Cell lengths 6.7257, 8.3786, 11.1727 Å; angles 90.00, 92.33, 90.00 degrees
Space group P2_1/c (No. 14)
Inequivalent atoms, fractional coordinates:
Ba: 0.1615 0.2317 0.4923
U: 0.3928 0.6186 0.2628
P: 0.0929 0.5342 0.7345
O: 0.0473 0.5345 0.8672
O: 0.0912 0.5184 0.3466
O: 0.1517 0.7035 0.6897
O: 0.2635 0.0864 0.2093
O: 0.3855 0.5282 0.1146
O: 0.4216 0.7092 0.4100
F: 0.4405 0.1544 0.8228

Largest 12 diffraction maxima, sorted by position, 10 to 90 degrees two-theta:
two_theta  I_rel  index
15.9  58  0 0 2
21.1  61  1 0 2
22.7  81  0 2 1
22.9  100  1 1 -2
23.6  54  1 1 2
26.2  41  1 2 -1
26.5  63  1 2 1
26.6  41  0 2 2
28.6  65  2 1 0
29.4  49  2 1 -1
30.0  46  2 1 1
32.1  41  0 0 4


Starting from a PBE-relaxed structure, the powder X-ray diffraction pattern of BaSr3Pd2O4F4 was computed for Cu Kα (λ = 1.5418 Å).
Lines closer than 0.1° are merged.

Atomic structure:
Cell lengths 4.1289, 4.1289, 13.3051 Å; angles 90.00, 90.00, 90.00 degrees
Space group P4mm (No. 99)
Inequivalent atoms, fractional coordinates:
Ba: 0.0000 0.0000 0.0000
Sr: 0.0000 0.0000 0.7215
Sr: 0.5000 0.5000 0.2346
Sr: 0.5000 0.5000 0.5023
Pd: 0.0000 0.0000 0.3650
Pd: 0.5000 0.5000 0.8678
O: 0.0000 0.5000 0.3690
O: 0.0000 0.5000 0.8468
F: 0.0000 0.5000 0.1258
F: 0.0000 0.5000 0.6096

Largest 12 diffraction maxima, sorted by position, 10 to 90 degrees two-theta:
two_theta  I_rel  index
13.3  13  0 0 2
29.6  100  1 0 3
30.6  32  1 1 0
40.3  21  1 0 5
41.1  12  1 1 4
43.9  31  2 0 0
51.8  11  1 1 6
53.8  36  2 1 3
61.1  12  2 1 5
63.8  10  2 2 0
73.1  10  2 0 8
88.1  9  3 2 3


Starting from a PBE-relaxed structure, the powder X-ray diffraction pattern of Ba2S2O3F2 was computed for Cu Kα (λ = 1.5418 Å).
Lines closer than 0.1° are merged.

Atomic structure:
Cell lengths 4.6348, 4.7229, 8.1108 Å; angles 76.45, 78.94, 88.16 degrees
Space group P1 (No. 1)
Inequivalent atoms, fractional coordinates:
Ba: 0.0000 0.0000 0.0000
Ba: 0.4023 0.3746 0.3737
S: 0.5684 0.5744 0.8592
S: 0.7928 0.8430 0.5982
O: 0.0772 0.9402 0.6365
O: 0.5200 0.2564 0.8302
O: 0.8528 0.6039 0.5006
F: 0.4509 0.9322 0.2141
F: 0.9710 0.4200 0.1815

Largest 12 diffraction maxima, sorted by position, 10 to 90 degrees two-theta:
two_theta  I_rel  index
23.0  38  0 0 2
24.5  82  1 0 -1
24.7  88  0 1 -1
26.4  92  0 1 2
26.7  58  1 1 1
27.3  96  1 0 2
27.4  100  1 -1 0
37.7  38  1 1 3
38.2  38  0 2 1
39.1  44  2 0 1
44.1  51  -1 1 3
47.4  41  -1 2 2


Starting from a PBE-relaxed structure, the powder X-ray diffraction pattern of BaScO2F was computed for Cu Kα (λ = 1.5418 Å).
Lines closer than 0.1° are merged.

Atomic structure:
Cell lengths 4.2069, 4.2069, 4.2114 Å; angles 90.00, 90.00, 90.00 degrees
Space group P4/mmm (No. 123)
Inequivalent atoms, fractional coordinates:
Ba: 0.0000 0.0000 0.0000
Sc: 0.5000 0.5000 0.5000
O: 0.0000 0.5000 0.5000
F: 0.5000 0.5000 0.0000

Largest 12 diffraction maxima, sorted by position, 10 to 90 degrees two-theta:
two_theta  I_rel  index
21.1  21  0 0 1
30.0  100  1 1 0
37.0  29  1 1 1
43.0  37  2 0 0
48.4  11  2 0 1
53.3  39  1 1 2
62.4  23  2 2 0
66.7  6  2 2 1
70.8  17  3 1 0
74.8  10  3 1 1
78.8  7  2 2 2
86.5  21  3 1 2